Starting from a cell relaxed with PBE, the X-ray diffraction stick pattern of SmTiClO3 was simulated for CuKα.
Neutral-atom scattering factors, no anomalous dispersion.

The 10 most intense peaks (15° ≤ 2θ ≤ 90°), most intense first:
2θ (°)	d_spacing	I (rel.)
25.00	3.561	100
18.81	4.717	56
35.48	2.530	49
36.37	2.470	32
34.84	2.575	30
29.92	2.986	25
45.65	1.987	23
18.23	4.868	23
59.71	1.549	21
27.49	3.245	20

Structure:
Lattice parameters (Å, degrees): 5.3097 5.3097 10.1622 105.42 105.42 43.96
Fractional positions:
Sm  0.2202  0.2202  0.2057
Sm  0.7798  0.7798  0.7943
Ti  0.3797  0.3797  0.5662
Ti  0.6203  0.6203  0.4338
Cl  0.1135  0.1135  0.9045
Cl  0.8865  0.8865  0.0955
O  0.1677  0.1677  0.4386
O  0.3512  0.3512  0.7412
O  0.4234  0.4234  0.3787
O  0.5766  0.5766  0.6213
O  0.6488  0.6488  0.2588
O  0.8323  0.8323  0.5614

---

Starting from a cell relaxed with PBE, the X-ray diffraction stick pattern of Sn2Cl4O3 was simulated for CuKα.
Neutral-atom scattering factors, no anomalous dispersion.

The 10 most intense peaks (15° ≤ 2θ ≤ 90°), most intense first:
2θ (°)	d_spacing	I (rel.)
17.10	5.186	100
23.42	3.798	48
19.99	4.443	35
18.05	4.914	33
15.63	5.670	25
37.52	2.397	23
20.84	4.262	20
45.62	1.988	18
37.27	2.412	18
27.42	3.252	18

Structure:
Lattice parameters (Å, degrees): 17.2403 9.8609 7.1230 90.00 100.43 90.00
Fractional positions:
Sn  0.0992  0.0693  0.3876
Sn  0.0992  0.4307  0.8876
Sn  0.2532  0.5537  0.6768
Sn  0.2532  0.9463  0.1768
Sn  0.7468  0.0537  0.8232
Sn  0.7468  0.4463  0.3232
Sn  0.9008  0.5693  0.1124
Sn  0.9008  0.9307  0.6124
Cl  0.0819  0.1904  0.7269
Cl  0.0819  0.3096  0.2269
Cl  0.1413  0.6832  0.5391
Cl  0.1413  0.8168  0.0391
Cl  0.2896  0.0671  0.9275
Cl  0.2896  0.4329  0.4275
Cl  0.3540  0.6984  0.8107
Cl  0.3540  0.8016  0.3107
Cl  0.6460  0.1984  0.6893
Cl  0.6460  0.3016  0.1893
Cl  0.7104  0.5671  0.5725
Cl  0.7104  0.9329  0.0725
Cl  0.8587  0.1832  0.9609
Cl  0.8587  0.3168  0.4609
Cl  0.9181  0.6904  0.7731
Cl  0.9181  0.8096  0.2731
O  0.2163  0.0596  0.3662
O  0.2163  0.4404  0.8662
O  0.4257  0.1304  0.3833
O  0.4257  0.3696  0.8833
O  0.4604  0.1843  0.2657
O  0.4604  0.3157  0.7657
O  0.5396  0.6843  0.2343
O  0.5396  0.8157  0.7343
O  0.5743  0.6304  0.1167
O  0.5743  0.8696  0.6167
O  0.7837  0.5596  0.1338
O  0.7837  0.9404  0.6338

---

Starting from a cell relaxed with PBE, the X-ray diffraction stick pattern of SrCl2O was simulated for CuKα.
Neutral-atom scattering factors, no anomalous dispersion.

The 10 most intense peaks (15° ≤ 2θ ≤ 90°), most intense first:
2θ (°)	d_spacing	I (rel.)
38.92	2.314	100
30.30	2.950	73
16.78	5.283	44
33.87	2.646	43
37.67	2.388	42
23.25	3.825	37
20.12	4.413	26
23.72	3.751	23
51.55	1.773	23
27.66	3.225	21

Structure:
Lattice parameters (Å, degrees): 10.5669 4.7753 8.0252 90.00 90.00 90.00
Fractional positions:
Sr  0.1860  0.2500  0.1099
Sr  0.3140  0.7500  0.6099
Sr  0.6860  0.2500  0.3901
Sr  0.8140  0.7500  0.8901
Cl  0.1067  0.7500  0.8790
Cl  0.1171  0.7500  0.3368
Cl  0.3829  0.2500  0.8368
Cl  0.3933  0.2500  0.3790
Cl  0.6067  0.7500  0.6210
Cl  0.6171  0.7500  0.1632
Cl  0.8829  0.2500  0.6632
Cl  0.8933  0.2500  0.1210
O  0.2331  0.2500  0.6082
O  0.2669  0.7500  0.1082
O  0.7331  0.2500  0.8918
O  0.7669  0.7500  0.3918

---

Starting from a cell relaxed with PBE, the X-ray diffraction stick pattern of SrClO was simulated for CuKα.
Neutral-atom scattering factors, no anomalous dispersion.

The 10 most intense peaks (15° ≤ 2θ ≤ 90°), most intense first:
2θ (°)	d_spacing	I (rel.)
25.79	3.455	100
37.03	2.428	83
42.31	2.136	49
18.39	4.825	44
46.49	1.953	24
24.05	3.700	24
57.63	1.599	23
57.46	1.604	22
73.90	1.283	21
50.21	1.817	16

Structure:
Lattice parameters (Å, degrees): 4.2724 4.2724 9.6507 90.00 90.00 120.00
Fractional positions:
Sr  0.3333  0.6667  0.0000
Sr  0.6667  0.3333  0.5000
Cl  0.3333  0.6667  0.3100
Cl  0.6667  0.3333  0.8100
O  0.0000  0.0000  0.0454
O  0.0000  0.0000  0.5454

---

Starting from a cell relaxed with PBE, the X-ray diffraction stick pattern of Sr4Te3Cl4O8 was simulated for CuKα.
Neutral-atom scattering factors, no anomalous dispersion.

The 10 most intense peaks (15° ≤ 2θ ≤ 90°), most intense first:
2θ (°)	d_spacing	I (rel.)
31.12	2.874	100
28.91	3.088	72
30.86	2.897	52
25.82	3.450	32
24.50	3.634	29
21.72	4.092	24
55.05	1.668	19
46.13	1.968	17
21.54	4.126	16
43.10	2.099	15

Structure:
Lattice parameters (Å, degrees): 8.7809 8.7809 17.2286 108.22 108.22 38.53
Fractional positions:
Sr  0.0495  0.0495  0.1811
Sr  0.1562  0.1591  0.4409
Sr  0.2604  0.2629  0.6992
Sr  0.3489  0.3649  0.9563
Sr  0.6351  0.6511  0.0437
Sr  0.7371  0.7396  0.3008
Sr  0.8409  0.8438  0.5591
Sr  0.9505  0.9505  0.8189
Te  0.2665  0.2707  0.1789
Te  0.3646  0.3675  0.4275
Te  0.4649  0.4669  0.6764
Te  0.5331  0.5351  0.3236
Te  0.6325  0.6354  0.5725
Te  0.7293  0.7335  0.8211
Cl  0.0478  0.9522  0.0000
Cl  0.0981  0.1004  0.7456
Cl  0.1894  0.1966  0.9823
Cl  0.4988  0.4804  0.1232
Cl  0.5196  0.5012  0.8768
Cl  0.8034  0.8106  0.0177
Cl  0.8996  0.9019  0.2544
Cl  0.9986  0.0014  0.5000
O  0.0487  0.5350  0.4315
O  0.0501  0.5731  0.8327
O  0.1550  0.6405  0.6936
O  0.2972  0.3008  0.2971
O  0.3595  0.8450  0.3064
O  0.4075  0.4105  0.5595
O  0.4269  0.9499  0.1673
O  0.4650  0.9513  0.5685
O  0.5321  0.0516  0.4315
O  0.5716  0.0533  0.8336
O  0.5895  0.5925  0.4405
O  0.6378  0.1572  0.6933
O  0.6992  0.7028  0.7029
O  0.8428  0.3622  0.3067
O  0.9467  0.4284  0.1664
O  0.9484  0.4679  0.5685